Starting from a crystal structure in Alexandria, relaxed with PBE, the X-ray diffraction stick pattern of LaGaGe2Ru2 was calculated for Cu Kα (weighted mean of Kα1 and Kα2).
Neutral-atom scattering factors, no anomalous dispersion.

Largest 6 diffraction maxima, sorted by position, 2θ = 5–70°:
Position (°2θ), I_rel
15.52, 31
31.78, 86
37.12, 95
39.37, 100
55.22, 59
56.89, 33

Unit cell a=4.5777 b=4.5777 c=5.7077 alpha=90.00 beta=90.00 gamma=90.00
Atoms (fractional coordinates):
La 0.0000 0.0000 0.0000
Ga 0.0000 0.0000 0.5000
Ge 0.5000 0.5000 0.2418
Ge 0.5000 0.5000 0.7582
Ru 0.0000 0.5000 0.5000
Ru 0.5000 0.0000 0.5000

Starting from a crystal structure in Alexandria, relaxed with PBE, the X-ray diffraction stick pattern of ICl was calculated for Cu Kα (weighted mean of Kα1 and Kα2).
Neutral-atom scattering factors, no anomalous dispersion.

Largest 6 diffraction maxima, sorted by position, 2θ = 5–70°:
Position (°2θ), I_rel
12.51, 46
16.53, 100
23.51, 73
28.54, 26
29.17, 59
33.42, 42

Unit cell a=4.9178 b=5.3642 c=7.1432 alpha=91.65 beta=97.66 gamma=90.39
Atoms (fractional coordinates):
I 0.0000 0.0000 0.0000
I 0.3291 0.9895 0.6865
Cl 0.6233 0.9812 0.4338
Cl 0.9856 0.5006 0.0192

Starting from a crystal structure in Alexandria, relaxed with PBE, the X-ray diffraction stick pattern of CsTi3AlO8 was calculated for Cu Kα (weighted mean of Kα1 and Kα2).
Neutral-atom scattering factors, no anomalous dispersion.

Largest 6 diffraction maxima, sorted by position, 2θ = 5–70°:
Position (°2θ), I_rel
24.66, 47
27.61, 100
27.71, 48
30.77, 35
35.56, 64
39.81, 52

Unit cell a=3.0308 b=7.3628 c=7.3819 alpha=87.81 beta=78.25 gamma=78.14
Atoms (fractional coordinates):
Cs 0.0000 0.0000 0.0000
Ti 0.1345 0.1995 0.5142
Ti 0.6893 0.4970 0.1656
Ti 0.8878 0.8173 0.4918
Al 0.3395 0.5145 0.8118
O 0.0404 0.6335 0.2886
O 0.2966 0.3686 0.0421
O 0.3346 0.7021 0.6296
O 0.3425 0.9476 0.3676
O 0.6586 0.0567 0.6342
O 0.6693 0.2958 0.3673
O 0.7131 0.6341 0.9417
O 0.9611 0.3795 0.7025

Starting from a crystal structure in Alexandria, relaxed with PBE, the X-ray diffraction stick pattern of KRb2Pb was calculated for Cu Kα (weighted mean of Kα1 and Kα2).
Neutral-atom scattering factors, no anomalous dispersion.

Largest 6 diffraction maxima, sorted by position, 2θ = 5–70°:
Position (°2θ), I_rel
16.43, 30
26.99, 100
31.76, 20
38.54, 19
47.68, 42
62.90, 18

Unit cell a=6.6074 b=6.6074 c=6.6074 alpha=60.00 beta=60.00 gamma=60.00
Atoms (fractional coordinates):
K 0.0000 0.0000 0.0000
Rb 0.2500 0.2500 0.2500
Rb 0.7500 0.7500 0.7500
Pb 0.5000 0.5000 0.5000

Starting from a crystal structure in Alexandria, relaxed with PBE, the X-ray diffraction stick pattern of GaPd4Pb was calculated for Cu Kα (weighted mean of Kα1 and Kα2).
Neutral-atom scattering factors, no anomalous dispersion.

Largest 6 diffraction maxima, sorted by position, 2θ = 5–70°:
Position (°2θ), I_rel
31.99, 23
36.63, 36
37.96, 36
39.57, 26
40.58, 100
41.04, 43

Unit cell a=5.5599 b=7.7294 c=5.1221 alpha=90.00 beta=111.45 gamma=90.00
Atoms (fractional coordinates):
Ga 0.0000 0.0000 0.0000
Ga 0.0000 0.5000 0.5000
Pd 0.1069 0.1686 0.6182
Pd 0.1069 0.3314 0.1182
Pd 0.3604 0.6563 0.4181
Pd 0.3604 0.8437 0.9181
Pd 0.6396 0.1563 0.0819
Pd 0.6396 0.3437 0.5819
Pd 0.8931 0.6686 0.8818
Pd 0.8931 0.8314 0.3818
Pb 0.5000 0.0000 0.5000
Pb 0.5000 0.5000 0.0000

Starting from a crystal structure in Alexandria, relaxed with PBE, the X-ray diffraction stick pattern of Tb4Ce2Bi3N2 was calculated for Cu Kα (weighted mean of Kα1 and Kα2).
Neutral-atom scattering factors, no anomalous dispersion.

Largest 6 diffraction maxima, sorted by position, 2θ = 5–70°:
Position (°2θ), I_rel
19.03, 14
27.46, 40
33.79, 100
37.96, 47
54.77, 16
65.92, 30

Unit cell a=13.4398 b=13.4398 c=13.4398 alpha=159.68 beta=159.68 gamma=28.89
Atoms (fractional coordinates):
Tb 0.0836 0.5836 0.5000
Tb 0.4164 0.9164 0.5000
Tb 0.5836 0.0836 0.5000
Tb 0.9164 0.4164 0.5000
Ce 0.1904 0.1904 0.0000
Ce 0.8096 0.8096 0.0000
Bi 0.3225 0.3225 0.0000
Bi 0.5000 0.5000 0.0000
Bi 0.6775 0.6775 0.0000
N 0.1029 0.1029 0.0000
N 0.8971 0.8971 0.0000

Starting from a crystal structure in Alexandria, relaxed with PBE, the X-ray diffraction stick pattern of KRbAsPt was calculated for Cu Kα (weighted mean of Kα1 and Kα2).
Neutral-atom scattering factors, no anomalous dispersion.

Largest 6 diffraction maxima, sorted by position, 2θ = 5–70°:
Position (°2θ), I_rel
16.44, 35
17.29, 100
21.40, 38
29.19, 71
30.07, 58
30.68, 43

Unit cell a=6.5291 b=6.5291 c=6.5291 alpha=139.69 beta=126.98 gamma=68.65
Atoms (fractional coordinates):
K 0.0000 0.0000 0.0000
Rb 0.6599 0.6599 0.0000
As 0.3100 0.3100 0.0000
Pt 0.3786 0.8786 0.5000

Starting from a crystal structure in Alexandria, relaxed with PBE, the X-ray diffraction stick pattern of TlPdSe2Br was calculated for Cu Kα (weighted mean of Kα1 and Kα2).
Neutral-atom scattering factors, no anomalous dispersion.

Largest 6 diffraction maxima, sorted by position, 2θ = 5–70°:
Position (°2θ), I_rel
24.18, 79
25.16, 38
30.14, 100
33.00, 54
35.88, 86
49.54, 68

Unit cell a=5.0058 b=5.0058 c=5.4293 alpha=90.00 beta=90.00 gamma=90.00
Atoms (fractional coordinates):
Tl 0.0000 0.0000 0.0000
Pd 0.5000 0.5000 0.5000
Se 0.0000 0.5000 0.5000
Se 0.5000 0.0000 0.5000
Br 0.5000 0.5000 0.0000

Starting from a crystal structure in Alexandria, relaxed with PBE, the X-ray diffraction stick pattern of LiNd2SeO6 was calculated for Cu Kα (weighted mean of Kα1 and Kα2).
Neutral-atom scattering factors, no anomalous dispersion.

Largest 6 diffraction maxima, sorted by position, 2θ = 5–70°:
Position (°2θ), I_rel
22.36, 59
32.08, 100
32.28, 100
32.69, 52
45.63, 40
51.65, 44

Unit cell a=5.4796 b=5.7791 c=9.4826 alpha=90.00 beta=124.82 gamma=90.00
Atoms (fractional coordinates):
Li 0.0000 0.0000 0.0000
Li 0.0000 0.5000 0.5000
Nd 0.2331 0.0662 0.7490
Nd 0.2331 0.4338 0.2490
Nd 0.7669 0.5662 0.7510
Nd 0.7669 0.9338 0.2510
Se 0.5000 0.0000 0.5000
Se 0.5000 0.5000 0.0000
O 0.1665 0.1876 0.4541
O 0.1665 0.3124 0.9541
O 0.2636 0.7154 0.4488
O 0.2636 0.7846 0.9488
O 0.3532 0.0294 0.2592
O 0.3532 0.4706 0.7592
O 0.6468 0.5294 0.2408
O 0.6468 0.9706 0.7408
O 0.7364 0.2154 0.0512
O 0.7364 0.2846 0.5512
O 0.8335 0.6876 0.0459
O 0.8335 0.8124 0.5459

Starting from a crystal structure in Alexandria, relaxed with PBE, the X-ray diffraction stick pattern of Cd2NiSe was calculated for Cu Kα (weighted mean of Kα1 and Kα2).
Neutral-atom scattering factors, no anomalous dispersion.

Largest 6 diffraction maxima, sorted by position, 2θ = 5–70°:
Position (°2θ), I_rel
29.26, 43
30.11, 100
35.45, 97
38.03, 48
40.69, 64
45.40, 51

Unit cell a=4.9908 b=4.9908 c=6.2417 alpha=109.47 beta=109.47 gamma=36.87
Atoms (fractional coordinates):
Cd 0.0000 0.0000 0.0000
Cd 0.2105 0.2105 0.7288
Ni 0.7487 0.7487 0.1006
Se 0.3353 0.3353 0.3879

Starting from a crystal structure in Alexandria, relaxed with PBE, the X-ray diffraction stick pattern of Nd5Sb2H2 was calculated for Cu Kα (weighted mean of Kα1 and Kα2).
Neutral-atom scattering factors, no anomalous dispersion.

Largest 6 diffraction maxima, sorted by position, 2θ = 5–70°:
Position (°2θ), I_rel
26.77, 24
27.03, 37
30.87, 100
33.37, 48
33.98, 64
43.46, 21

Unit cell a=7.1751 b=7.1751 c=6.9195 alpha=109.39 beta=109.39 gamma=43.95
Atoms (fractional coordinates):
Nd 0.0000 0.0000 0.0000
Nd 0.1511 0.1511 0.5570
Nd 0.3398 0.3398 0.1181
Nd 0.6602 0.6602 0.8819
Nd 0.8489 0.8489 0.4430
Sb 0.4027 0.4027 0.6923
Sb 0.5973 0.5973 0.3077
H 0.1565 0.1565 0.8938
H 0.8435 0.8435 0.1062

Starting from a crystal structure in Alexandria, relaxed with PBE, the X-ray diffraction stick pattern of PdAuF was calculated for Cu Kα (weighted mean of Kα1 and Kα2).
Neutral-atom scattering factors, no anomalous dispersion.

Largest 6 diffraction maxima, sorted by position, 2θ = 5–70°:
Position (°2θ), I_rel
7.27, 22
14.57, 46
36.92, 44
37.33, 100
45.68, 38
59.34, 29

Unit cell a=12.1625 b=2.8902 c=2.8902 alpha=65.18 beta=90.00 gamma=90.00
Atoms (fractional coordinates):
Pd 0.1807 0.0000 0.0000
Pd 0.8193 0.0000 0.0000
Au 0.0000 0.5012 0.5012
Au 0.5000 0.4984 0.4984
F 0.3281 0.4985 0.4985
F 0.6719 0.4985 0.4985